# LiPt2Au
Simulated XRD peak list, Cu Kα. Input: a cell relaxed with PBE.

Structural model:
a = 5.655 Å, b = 7.774 Å, c = 5.645 Å
α = 90.00°, β = 90.00°, γ = 90.00°
Space group Imma (No. 74)
Asymmetric unit:
1 Li 0.250 0.250 0.250 [4 per cell]
2 Pt 0.000 0.000 0.000 [4 per cell]
3 Pt 0.250 0.250 0.750 [4 per cell]
4 Au 0.000 0.000 0.500 [4 per cell]

Peak list (10 most intense, 2θ = 10–90°, sorted by position)
- (0 1 1), 19.43°, I = 30
- (0 2 0), 22.88°, I = 11
- (2 0 0), 31.67°, I = 10
- (2 1 1), 37.41°, I = 12
- (2 2 0), 39.43°, I = 100
- (2 0 2), 45.40°, I = 34
- (0 4 0), 46.74°, I = 16
- (2 4 2), 67.20°, I = 21
- (4 2 2), 79.83°, I = 27
- (2 6 0), 81.78°, I = 13


# Al5V
Simulated XRD peak list, Cu Kα. Input: a cell relaxed with PBE.

Structural model:
a = 4.8943 Å, b = 4.8943 Å, c = 8.8736 Å
α = 90.00°, β = 90.00°, γ = 120.00°
Space group P6_322 (No. 182)
Asymmetric unit:
1 Al 0.0000 0.0000 0.2500 [2 per cell]
2 Al 0.0000 0.3394 0.0000 [6 per cell]
3 Al 0.3333 0.6667 0.2500 [2 per cell]
4 V 0.3333 0.6667 0.7500 [2 per cell]

Peak list (10 most intense, 2θ = 10–90°, sorted by position)
- (1 0 1), 23.26°, I = 10
- (1 1 0), 36.72°, I = 15
- (1 1 1), 38.15°, I = 32
- (0 0 4), 40.67°, I = 30
- (1 1 2), 42.17°, I = 100
- (1 1 3), 48.27°, I = 16
- (3 0 0), 66.14°, I = 20
- (1 1 6), 75.04°, I = 17
- (3 0 4), 80.62°, I = 23
- (2 2 2), 81.62°, I = 13